Computed X-ray diffraction stick pattern
Compound: Yb5P7Pd9
Radiation: copper Kα
Structure: a DFT-relaxed cell (GGA-PBE, Alexandria)

Principal peaks in the range 2θ from 10° to 90°, in order of rising 2θ:
| Position (°2θ) | I/Imax | (hkl) |
| --- | --- | --- |
| 26.91 | 139 | 2 1 0 |
| 34.99 | 1000 | 2 1 1 |
| 35.48 | 89 | 2 2 0 |
| 37.97 | 104 | 3 0 1 |
| 41.20 | 98 | 4 0 0 |
| 44.75 | 167 | 0 0 2 |
| 45.09 | 80 | 3 2 0 |
| 47.54 | 127 | 1 4 0 |
| 67.34 | 89 | 1 4 2 |
| 76.14 | 103 | 2 1 3 |

Structure:
```
data_Yb5P7Pd9
_chemical_formula_sum 'Yb5 P7 Pd9'
_cell_length_a 10.1211
_cell_length_b 10.1211
_cell_length_c 4.0502
_cell_angle_alpha 90.00
_cell_angle_beta 90.00
_cell_angle_gamma 120.00
_symmetry_space_group_name_H-M 'P 1'
_symmetry_Int_Tables_number 1
loop_
_symmetry_equiv_pos_as_xyz
'x,y,z'
loop_
_atom_site_label
_atom_site_fract_x
_atom_site_fract_y
_atom_site_fract_z
_atom_site_occupancy
Yb1 0.0000 0.0000 0.0000 1
Yb2 0.1021 0.5399 0.5000 1
Yb3 0.4378 0.8979 0.5000 1
Yb4 0.4601 0.5622 0.5000 1
Yb5 0.6667 0.3333 0.5000 1
P1 0.0566 0.2417 0.5000 1
P2 0.1851 0.9434 0.5000 1
P3 0.3333 0.6667 0.0000 1
P4 0.4464 0.3540 0.0000 1
P5 0.6460 0.0924 0.0000 1
P6 0.7583 0.8149 0.5000 1
P7 0.9076 0.5536 0.0000 1
Pd1 0.1664 0.7955 0.0000 1
Pd2 0.2045 0.3709 0.0000 1
Pd3 0.2801 0.2098 0.5000 1
Pd4 0.4110 0.1057 0.0000 1
Pd5 0.6291 0.8336 0.0000 1
Pd6 0.6947 0.5890 0.0000 1
Pd7 0.7902 0.0703 0.5000 1
Pd8 0.8943 0.3053 0.0000 1
Pd9 0.9297 0.7199 0.5000 1
```